# 1
Diffraction record for TlI3O9. The powder XRD pattern is calculated, not measured: it uses DFT lattice parameters and positions (GGA-PBE) and Cu Ka.
Intensities are scaled so that the largest is 100.

Atomic structure:
```
data_TlI3O9
_chemical_formula_sum 'Tl6 I18 O54'
_cell_length_a 10.0245
_cell_length_b 10.0245
_cell_length_c 14.7888
_cell_angle_alpha 90.00
_cell_angle_beta 90.00
_cell_angle_gamma 120.00
_symmetry_space_group_name_H-M 'R -3'
_symmetry_Int_Tables_number 148
_symmetry_space_group_name_Hall '-R 3'
loop_
_atom_site_label
_atom_site_fract_x
_atom_site_fract_y
_atom_site_fract_z
Tl1 0.0000 0.0000 0.1757
I1 0.9997 0.2954 0.4205
O1 0.0378 0.8472 0.2761
O2 0.0417 0.2832 0.5405
O3 0.0521 0.8405 0.9081
```

The 6 most intense peaks (2θ = 5–70°), low angle first:
- 2θ 21.33, 4.165 Å, intensity 18.1, (0 2 1)
- 2θ 25.34, 3.515 Å, intensity 100.0, (1 1 3)
- 2θ 30.90, 2.894 Å, intensity 59.1, (3 0 0)
- 2θ 35.99, 2.496 Å, intensity 19.2, (0 3 3)
- 2θ 40.80, 2.212 Å, intensity 29.0, (1 1 6)
- 2θ 51.69, 1.768 Å, intensity 19.6, (1 4 3)


# 2
Diffraction record for TlIO3. The powder XRD pattern is calculated, not measured: it uses DFT lattice parameters and positions (GGA-PBE) and Cu Ka.
Intensities are scaled so that the largest is 100.

Atomic structure:
```
data_TlIO3
_chemical_formula_sum 'Tl3 I3 O9'
_cell_length_a 6.4089
_cell_length_b 6.4089
_cell_length_c 8.1299
_cell_angle_alpha 90.00
_cell_angle_beta 90.00
_cell_angle_gamma 120.00
_symmetry_space_group_name_H-M 'R 3 m'
_symmetry_Int_Tables_number 160
_symmetry_space_group_name_Hall 'R 3 -2"'
loop_
_atom_site_label
_atom_site_fract_x
_atom_site_fract_y
_atom_site_fract_z
Tl1 0.0000 0.0000 0.0000
I1 0.0000 0.0000 0.5027
O1 0.1864 0.3727 0.2742
```

The 6 most intense peaks (2θ = 5–70°), low angle first:
- 2θ 27.19, 3.279 Å, intensity 100.0, (0 1 2)
- 2θ 27.84, 3.204 Å, intensity 89.1, (1 1 0)
- 2θ 39.31, 2.292 Å, intensity 48.1, (2 0 2)
- 2θ 47.65, 1.909 Å, intensity 21.6, (1 0 4)
- 2θ 48.86, 1.864 Å, intensity 37.4, (1 2 2)
- 2θ 63.76, 1.460 Å, intensity 20.4, (2 1 4)